For Ce4Ga3Ge, a PBE-relaxed structure gives the simulated PXRD pattern in this record (a wavelength of 1.5418 Å).

Atomic structure:
```
Ce4Ga3Ge
1.0
4.098 0.000 0.000
0.000 4.392 0.000
0.000 0.000 11.184
Ce Ga Ge
4 3 1
Direct
0.000 0.000 0.000
0.000 0.500 0.499
0.500 0.000 0.712
0.500 0.500 0.212
0.000 0.000 0.284
0.500 0.000 0.428
0.500 0.500 0.928
0.000 0.500 0.781
```

Principal peaks in the range 10° ≤ 2θ ≤ 80°, by angle:
hkl 1 1 1, 30.89°, I 100
hkl 0 1 3, 31.48°, I 47
hkl 0 0 4, 32.01°, I 23
hkl 1 1 3, 38.55°, I 47
hkl 1 0 4, 39.00°, I 24
hkl 0 2 0, 41.10°, I 26